Structure and simulated powder diffractogram of SrH8PdPt2 (a DFT-relaxed cell (PBE, Alexandria); Cu Kα, 1.54184 Å).
No peak broadening, texture or thermal motion is included.

Structure:
Lattice parameters (Å, degrees): 4.9144 4.9144 17.2058 90.00 90.00 120.00
Space group R-3 (No. 148, hexagonal axes)
Inequivalent atoms, fractional coordinates:
Sr 0.0000 0.0000 0.0000 [3 per cell]
H 0.0000 0.0000 0.3111 [6 per cell]
H 0.0008 0.3498 0.2183 [18 per cell]
Pd 0.0000 0.0000 0.5000 [3 per cell]
Pt 0.0000 0.0000 0.2163 [6 per cell]

Principal peaks in the range 5 to 70 degrees two-theta, in order of rising 2θ:
| 2theta | Rel. int. | hkl |
| --- | --- | --- |
| 15.45 | 48.2 | 0 0 3 |
| 23.32 | 20.2 | 0 1 2 |
| 29.53 | 100.0 | 1 0 4 |
| 33.49 | 34.2 | 0 1 5 |
| 36.57 | 93.6 | 1 1 0 |
| 39.91 | 26.0 | 2 -1 3 |
| 42.47 | 29.7 | 1 0 7 |
| 47.68 | 26.8 | 0 2 4 |
| 61.51 | 39.7 | 3 -1 4 |
| 65.83 | 17.3 | 3 0 0 |



Structure and simulated powder diffractogram of La2Pm6Ho (a DFT-relaxed cell (PBE, Alexandria); Cu Kα, 1.54184 Å).
No peak broadening, texture or thermal motion is included.

Structure:
Lattice parameters (Å, degrees): 3.6560 3.6560 27.2110 90.00 90.00 120.00
Space group P-6m2 (No. 187)
Inequivalent atoms, fractional coordinates:
La 0.0000 0.0000 0.1712 [2 per cell]
Pm 0.0000 0.0000 0.3944 [2 per cell]
Pm 0.6667 0.3333 0.0623 [2 per cell]
Pm 0.6667 0.3333 0.2863 [2 per cell]
Ho 0.6667 0.3333 0.5000 [1 per cell]

Principal peaks in the range 5 to 70 degrees two-theta, in order of rising 2θ:
| 2theta | Rel. int. | hkl |
| --- | --- | --- |
| 28.18 | 45.2 | 1 0 0 |
| 29.54 | 44.8 | 0 0 9 |
| 29.89 | 10.7 | 1 0 3 |
| 31.16 | 57.9 | 1 0 4 |
| 32.72 | 100.0 | 1 0 5 |
| 41.29 | 28.4 | 1 0 9 |
| 49.89 | 35.5 | 1 1 0 |
| 55.47 | 30.7 | 1 0 14 |
| 59.05 | 37.9 | 1 1 9 |
| 60.95 | 16.8 | 2 0 5 |



Structure and simulated powder diffractogram of TmPa2Se4 (a DFT-relaxed cell (PBE, Alexandria); Cu Kα, 1.54184 Å).
No peak broadening, texture or thermal motion is included.

Structure:
Lattice parameters (Å, degrees): 3.817 13.122 14.350 90.00 90.00 90.00
Space group Cmcm (No. 63)
Inequivalent atoms, fractional coordinates:
Tm 0.000 0.109 0.250 [4 per cell]
Pa 0.000 0.353 0.063 [8 per cell]
Se 0.000 0.000 0.000 [4 per cell]
Se 0.000 0.294 0.632 [8 per cell]
Se 0.000 0.447 0.250 [4 per cell]

Principal peaks in the range 5 to 70 degrees two-theta, in order of rising 2θ:
| 2theta | Rel. int. | hkl |
| --- | --- | --- |
| 23.01 | 100.0 | 0 2 3 |
| 28.35 | 27.5 | 0 2 4 |
| 31.10 | 54.5 | 1 3 0 |
| 31.73 | 53.8 | 1 3 1 |
| 33.57 | 84.4 | 1 3 2 |
| 39.90 | 79.0 | 1 1 5 |
| 45.61 | 26.7 | 0 6 3 |
| 46.06 | 33.2 | 1 5 3 |
| 47.65 | 29.9 | 2 0 0 |
| 68.10 | 23.0 | 2 6 3 |



Structure and simulated powder diffractogram of NaPuCrN4 (a DFT-relaxed cell (PBE, Alexandria); Cu Kα, 1.54184 Å).
No peak broadening, texture or thermal motion is included.

Structure:
Lattice parameters (Å, degrees): 5.703 5.476 6.909 90.00 104.65 90.00
Space group P2_1/m (No. 11)
Inequivalent atoms, fractional coordinates:
Na 0.168 0.250 0.412 [2 per cell]
Pu 0.275 0.250 0.943 [2 per cell]
Cr 0.259 0.750 0.180 [2 per cell]
N 0.034 0.750 0.313 [2 per cell]
N 0.063 0.750 0.946 [2 per cell]
N 0.456 0.505 0.190 [4 per cell]

Principal peaks in the range 5 to 70 degrees two-theta, in order of rising 2θ:
| 2theta | Rel. int. | hkl |
| --- | --- | --- |
| 13.25 | 100.0 | 0 0 1 |
| 20.97 | 20.3 | 0 1 1 |
| 22.88 | 34.5 | 1 1 0 |
| 24.35 | 20.6 | 1 1 -1 |
| 28.55 | 19.6 | 1 1 1 |
| 31.36 | 17.9 | 0 1 2 |
| 32.71 | 20.0 | 0 2 0 |
| 35.43 | 15.8 | 0 2 1 |
| 38.53 | 16.4 | 1 1 2 |
| 40.27 | 16.2 | 2 1 -2 |